# 1
Calculated powder X-ray diffraction pattern
Compound: Er5Lu2Ni2Te2
Radiation: Cu Kα, 1.54184 Å
Structure: a cell relaxed with PBE
No peak broadening, texture or thermal motion is included.

The 10 most intense peaks (10 to 90 degrees two-theta), by intensity:
2θ = 34.47°, d 2.602, I 100.0
2θ = 33.41°, d 2.682, I 80.9
2θ = 30.65°, d 2.917, I 74.1
2θ = 34.93°, d 2.569, I 51.3
2θ = 59.41°, d 1.556, I 36.5
2θ = 47.62°, d 1.910, I 29.3
2θ = 51.85°, d 1.763, I 27.3
2θ = 35.08°, d 2.558, I 24.3
2θ = 37.00°, d 2.430, I 23.4
2θ = 29.18°, d 3.060, I 22.4

Structure:
```
data_Er5Lu2Ni2Te2
_chemical_formula_sum 'Er5 Lu2 Ni2 Te2'
_symmetry_space_group_name_H-M 'P 1'
_symmetry_Int_Tables_number 1
_cell_length_a 9.212
_cell_length_b 9.212
_cell_length_c 9.212
_cell_angle_alpha 156.07
_cell_angle_beta 67.17
_cell_angle_gamma 118.29
loop_
_symmetry_equiv_pos_as_xyz
'x,y,z'
loop_
_atom_site_label
_atom_site_type_symbol
_atom_site_fract_x
_atom_site_fract_y
_atom_site_fract_z
Er1 Er 0.000 0.000 0.000
Er2 Er 0.284 0.418 0.865
Er3 Er 0.309 0.624 0.685
Er4 Er 0.553 0.418 0.135
Er5 Er 0.938 0.624 0.315
Lu1 Lu 0.625 0.272 0.353
Lu2 Lu 0.918 0.272 0.647
Ni1 Ni 0.167 0.931 0.236
Ni2 Ni 0.695 0.931 0.764
Te1 Te 0.267 0.767 0.500
Te2 Te 0.662 0.662 0.000
```

# 2
Calculated powder X-ray diffraction pattern
Compound: CsFeNi
Radiation: Cu Kα, 1.54184 Å
Structure: a cell relaxed with PBE
No peak broadening, texture or thermal motion is included.

The 10 most intense peaks (10 to 90 degrees two-theta), by intensity:
2θ = 37.14°, d 2.421, I 100.0
2θ = 22.49°, d 3.954, I 35.1
2θ = 66.94°, d 1.398, I 33.3
2θ = 26.02°, d 3.424, I 30.7
2θ = 43.85°, d 2.065, I 17.8
2θ = 53.53°, d 1.712, I 16.7
2θ = 60.46°, d 1.531, I 11.2
2θ = 79.11°, d 1.211, I 10.2
2θ = 45.91°, d 1.977, I 8.5
2θ = 58.78°, d 1.571, I 7.5

Structure:
```
data_CsFeNi
_chemical_formula_sum 'Cs4 Fe4 Ni4'
_symmetry_space_group_name_H-M 'P 1'
_symmetry_Int_Tables_number 1
_cell_length_a 6.848
_cell_length_b 6.848
_cell_length_c 6.848
_cell_angle_alpha 90.00
_cell_angle_beta 90.00
_cell_angle_gamma 90.00
loop_
_symmetry_equiv_pos_as_xyz
'x,y,z'
loop_
_atom_site_label
_atom_site_type_symbol
_atom_site_fract_x
_atom_site_fract_y
_atom_site_fract_z
Cs1 Cs 0.000 0.000 0.000
Cs2 Cs 0.000 0.500 0.500
Cs3 Cs 0.500 0.000 0.500
Cs4 Cs 0.500 0.500 0.000
Fe1 Fe 0.000 0.000 0.500
Fe2 Fe 0.000 0.500 0.000
Fe3 Fe 0.500 0.000 0.000
Fe4 Fe 0.500 0.500 0.500
Ni1 Ni 0.250 0.250 0.250
Ni2 Ni 0.250 0.750 0.750
Ni3 Ni 0.750 0.250 0.750
Ni4 Ni 0.750 0.750 0.250
```